Entry 1:
Structure and calculated powder diffraction line list of PmSm4Ir2 (a PBE-relaxed structure; Cu Kα (λ = 1.5418 Å)).
Neutral-atom scattering factors, no anomalous dispersion.

Unit cell a=14.561 b=14.561 c=14.561 alpha=16.54 beta=16.54 gamma=16.54
Sites, in units of the cell vectors:
Pm 0.000 0.000 0.000
Sm 0.201 0.201 0.201
Sm 0.399 0.399 0.399
Sm 0.601 0.601 0.601
Sm 0.799 0.799 0.799
Ir 0.100 0.100 0.100
Ir 0.900 0.900 0.900

Peak list (10 most intense, 2θ from 10° to 90°, by angle)
- 12.3°, I = 25
- 24.6°, I = 14
- 26.7°, I = 18
- 32.3°, I = 100
- 43.2°, I = 45
- 49.2°, I = 31
- 54.9°, I = 22
- 72.3°, I = 20
- 81.2°, I = 14
- 83.6°, I = 14

Entry 2:
Structure and calculated powder diffraction line list of Pm4Sn8Ir (a PBE-relaxed structure; Cu Kα (λ = 1.5418 Å)).
Neutral-atom scattering factors, no anomalous dispersion.

Unit cell a=4.477 b=4.537 c=17.115 alpha=90.00 beta=90.00 gamma=90.00
Sites, in units of the cell vectors:
Pm 0.000 0.000 0.000
Pm 0.000 0.500 0.488
Pm 0.500 0.000 0.786
Pm 0.500 0.500 0.292
Sn 0.000 0.000 0.327
Sn 0.000 0.000 0.625
Sn 0.000 0.500 0.145
Sn 0.000 0.500 0.856
Sn 0.500 0.000 0.148
Sn 0.500 0.000 0.448
Sn 0.500 0.500 0.624
Sn 0.500 0.500 0.971
Ir 0.000 0.500 0.706

Peak list (10 most intense, 2θ from 10° to 90°, by angle)
- 31.4°, I = 13
- 32.2°, I = 100
- 32.8°, I = 10
- 37.4°, I = 13
- 39.7°, I = 23
- 40.3°, I = 22
- 55.7°, I = 10
- 57.9°, I = 15
- 67.4°, I = 19
- 68.2°, I = 12

Entry 3:
Structure and calculated powder diffraction line list of Pm3SnIr (a PBE-relaxed structure; Cu Kα (λ = 1.5418 Å)).
Neutral-atom scattering factors, no anomalous dispersion.

Unit cell a=4.661 b=6.956 c=9.087 alpha=90.00 beta=90.00 gamma=90.00
Sites, in units of the cell vectors:
Pm 0.250 0.005 0.154
Pm 0.250 0.250 0.578
Pm 0.250 0.495 0.154
Pm 0.750 0.505 0.846
Pm 0.750 0.750 0.422
Pm 0.750 0.995 0.846
Sn 0.250 0.750 0.651
Sn 0.750 0.250 0.349
Ir 0.250 0.250 0.896
Ir 0.750 0.750 0.104

Peak list (10 most intense, 2θ from 10° to 90°, by angle)
- 23.0°, I = 24
- 27.4°, I = 49
- 32.2°, I = 16
- 33.6°, I = 100
- 38.6°, I = 35
- 39.7°, I = 17
- 44.2°, I = 31
- 52.6°, I = 14
- 66.7°, I = 14
- 67.2°, I = 14

Entry 4:
Structure and calculated powder diffraction line list of Pm3Sn7Ir2 (a PBE-relaxed structure; Cu Kα (λ = 1.5418 Å)).
Neutral-atom scattering factors, no anomalous dispersion.

Unit cell a=4.679 b=4.593 c=14.274 alpha=90.00 beta=99.35 gamma=90.00
Sites, in units of the cell vectors:
Pm 0.000 0.000 0.000
Pm 0.318 0.500 0.638
Pm 0.682 0.500 0.362
Sn 0.086 0.500 0.171
Sn 0.222 0.000 0.443
Sn 0.415 0.000 0.826
Sn 0.500 0.500 0.000
Sn 0.585 0.000 0.174
Sn 0.778 0.000 0.557
Sn 0.914 0.500 0.829
Ir 0.128 0.000 0.261
Ir 0.872 0.000 0.739

Peak list (10 most intense, 2θ from 10° to 90°, by angle)
- 19.3°, I = 20
- 28.8°, I = 24
- 31.6°, I = 100
- 32.0°, I = 28
- 34.5°, I = 18
- 35.3°, I = 44
- 38.5°, I = 48
- 39.2°, I = 45
- 40.1°, I = 22
- 56.1°, I = 33

Entry 5:
Structure and calculated powder diffraction line list of Pm2Sn3Ir (a PBE-relaxed structure; Cu Kα (λ = 1.5418 Å)).
Neutral-atom scattering factors, no anomalous dispersion.

Unit cell a=6.066 b=6.066 c=7.404 alpha=125.61 beta=125.61 gamma=45.85
Sites, in units of the cell vectors:
Pm 0.000 0.000 0.000
Pm 0.124 0.124 0.611
Sn 0.380 0.380 0.192
Sn 0.447 0.447 0.670
Sn 0.731 0.731 0.388
Ir 0.745 0.745 0.031

Peak list (10 most intense, 2θ from 10° to 90°, by angle)
- 30.2°, I = 38
- 30.8°, I = 51
- 32.1°, I = 100
- 32.4°, I = 28
- 32.7°, I = 50
- 36.5°, I = 84
- 38.1°, I = 71
- 38.3°, I = 40
- 55.1°, I = 28
- 61.3°, I = 31

Entry 6:
Structure and calculated powder diffraction line list of Pm5Sn3Ir3 (a PBE-relaxed structure; Cu Kα (λ = 1.5418 Å)).
Neutral-atom scattering factors, no anomalous dispersion.

Unit cell a=8.987 b=8.987 c=4.780 alpha=90.00 beta=90.00 gamma=120.00
Sites, in units of the cell vectors:
Pm 0.000 0.754 0.000
Pm 0.246 0.246 0.000
Pm 0.333 0.667 0.000
Pm 0.667 0.333 0.000
Pm 0.754 0.000 0.000
Sn 0.000 0.467 0.500
Sn 0.467 0.000 0.500
Sn 0.533 0.533 0.500
Ir 0.000 0.347 0.000
Ir 0.347 0.000 0.000
Ir 0.653 0.653 0.000

Peak list (10 most intense, 2θ from 10° to 90°, by angle)
- 18.6°, I = 89
- 19.8°, I = 39
- 29.6°, I = 65
- 30.4°, I = 68
- 34.6°, I = 52
- 37.6°, I = 47
- 39.5°, I = 100
- 49.1°, I = 36
- 52.0°, I = 33
- 57.6°, I = 37

Entry 7:
Structure and calculated powder diffraction line list of Tb8PmIr6 (a PBE-relaxed structure; Cu Kα (λ = 1.5418 Å)).
Neutral-atom scattering factors, no anomalous dispersion.

Unit cell a=7.714 b=7.714 c=7.714 alpha=65.51 beta=65.51 gamma=65.51
Sites, in units of the cell vectors:
Tb 0.050 0.723 0.390
Tb 0.166 0.166 0.166
Tb 0.277 0.610 0.950
Tb 0.390 0.050 0.723
Tb 0.610 0.950 0.277
Tb 0.723 0.390 0.050
Tb 0.834 0.834 0.834
Tb 0.950 0.277 0.610
Pm 0.500 0.500 0.500
Ir 0.108 0.442 0.778
Ir 0.222 0.892 0.558
Ir 0.442 0.778 0.108
Ir 0.558 0.222 0.892
Ir 0.778 0.108 0.442
Ir 0.892 0.558 0.222

Peak list (10 most intense, 2θ from 10° to 90°, by angle)
- 14.7°, I = 12
- 21.3°, I = 20
- 26.0°, I = 16
- 36.8°, I = 100
- 37.3°, I = 92
- 53.4°, I = 35
- 65.9°, I = 19
- 67.0°, I = 35
- 67.3°, I = 17
- 78.3°, I = 11

Entry 8:
Structure and calculated powder diffraction line list of Tb4PmIr4 (a PBE-relaxed structure; Cu Kα (λ = 1.5418 Å)).
Neutral-atom scattering factors, no anomalous dispersion.

Unit cell a=8.960 b=8.960 c=5.681 alpha=90.00 beta=90.00 gamma=90.00
Sites, in units of the cell vectors:
Tb 0.079 0.658 0.142
Tb 0.158 0.921 0.642
Tb 0.342 0.579 0.642
Tb 0.421 0.842 0.142
Tb 0.579 0.158 0.858
Tb 0.658 0.421 0.358
Tb 0.842 0.079 0.358
Tb 0.921 0.342 0.858
Pm 0.250 0.250 0.250
Pm 0.750 0.750 0.750
Ir 0.032 0.617 0.641
Ir 0.117 0.968 0.141
Ir 0.383 0.532 0.141
Ir 0.468 0.883 0.641
Ir 0.532 0.117 0.359
Ir 0.617 0.468 0.859
Ir 0.883 0.032 0.859
Ir 0.968 0.383 0.359

Peak list (10 most intense, 2θ from 10° to 90°, by angle)
- 14.0°, I = 15
- 18.5°, I = 14
- 31.6°, I = 100
- 33.1°, I = 47
- 38.9°, I = 26
- 39.6°, I = 20
- 44.0°, I = 30
- 44.6°, I = 14
- 45.3°, I = 35
- 48.7°, I = 29

Entry 9:
Structure and calculated powder diffraction line list of TbPm2Ir9 (a PBE-relaxed structure; Cu Kα (λ = 1.5418 Å)).
Neutral-atom scattering factors, no anomalous dispersion.

Unit cell a=9.378 b=9.378 c=9.378 alpha=33.10 beta=33.10 gamma=33.10
Sites, in units of the cell vectors:
Tb 0.000 0.000 0.000
Pm 0.139 0.139 0.139
Pm 0.861 0.861 0.861
Ir 0.083 0.580 0.580
Ir 0.332 0.332 0.332
Ir 0.420 0.420 0.917
Ir 0.420 0.917 0.420
Ir 0.500 0.500 0.500
Ir 0.580 0.083 0.580
Ir 0.580 0.580 0.083
Ir 0.668 0.668 0.668
Ir 0.917 0.420 0.420

Peak list (10 most intense, 2θ from 10° to 90°, by angle)
- 19.5°, I = 25
- 33.5°, I = 20
- 39.1°, I = 31
- 39.4°, I = 100
- 40.8°, I = 28
- 42.6°, I = 41
- 45.9°, I = 19
- 63.9°, I = 24
- 70.5°, I = 27
- 84.8°, I = 25

Entry 10:
Structure and calculated powder diffraction line list of Pm6Te2Ir3 (a PBE-relaxed structure; Cu Kα (λ = 1.5418 Å)).
Neutral-atom scattering factors, no anomalous dispersion.

Unit cell a=7.181 b=7.181 c=8.104 alpha=98.30 beta=98.30 gamma=119.46
Sites, in units of the cell vectors:
Pm 0.045 0.397 0.193
Pm 0.244 0.244 0.792
Pm 0.397 0.045 0.193
Pm 0.603 0.955 0.807
Pm 0.756 0.756 0.208
Pm 0.955 0.603 0.807
Te 0.170 0.830 0.500
Te 0.830 0.170 0.500
Ir 0.000 0.000 0.000
Ir 0.343 0.657 0.000
Ir 0.657 0.343 0.000

Peak list (10 most intense, 2θ from 10° to 90°, by angle)
- 11.4°, I = 41
- 29.2°, I = 100
- 36.7°, I = 12
- 39.5°, I = 11
- 40.0°, I = 22
- 43.4°, I = 24
- 43.8°, I = 12
- 50.1°, I = 7
- 52.8°, I = 7
- 53.5°, I = 12

Entry 11:
Structure and calculated powder diffraction line list of Pm5TeIr2 (a PBE-relaxed structure; Cu Kα (λ = 1.5418 Å)).
Neutral-atom scattering factors, no anomalous dispersion.

Unit cell a=8.877 b=8.877 c=8.877 alpha=126.21 beta=126.21 gamma=79.54
Sites, in units of the cell vectors:
Pm 0.000 0.000 0.000
Pm 0.022 0.522 0.812
Pm 0.210 0.022 0.500
Pm 0.290 0.790 0.812
Pm 0.478 0.290 0.500
Pm 0.500 0.500 0.000
Pm 0.522 0.710 0.500
Pm 0.710 0.210 0.188
Pm 0.790 0.978 0.500
Pm 0.978 0.478 0.188
Te 0.250 0.250 0.000
Te 0.750 0.750 0.000
Ir 0.141 0.359 0.500
Ir 0.359 0.859 0.218
Ir 0.641 0.141 0.782
Ir 0.859 0.641 0.500

Peak list (10 most intense, 2θ from 10° to 90°, by angle)
- 13.0°, I = 27
- 30.6°, I = 12
- 31.7°, I = 100
- 34.5°, I = 16
- 35.3°, I = 57
- 41.6°, I = 29
- 51.0°, I = 10
- 53.7°, I = 9
- 65.9°, I = 35
- 72.2°, I = 8

Entry 12:
Structure and calculated powder diffraction line list of PmTh3Ir8 (a PBE-relaxed structure; Cu Kα (λ = 1.5418 Å)).
Neutral-atom scattering factors, no anomalous dispersion.

Unit cell a=9.435 b=9.435 c=9.435 alpha=33.55 beta=33.55 gamma=33.55
Sites, in units of the cell vectors:
Pm 0.000 0.000 0.000
Th 0.124 0.124 0.124
Th 0.502 0.502 0.502
Th 0.628 0.628 0.628
Ir 0.064 0.064 0.562
Ir 0.064 0.562 0.064
Ir 0.066 0.563 0.563
Ir 0.314 0.314 0.314
Ir 0.562 0.064 0.064
Ir 0.563 0.066 0.563
Ir 0.563 0.563 0.066
Ir 0.813 0.813 0.813

Peak list (10 most intense, 2θ from 10° to 90°, by angle)
- 32.9°, I = 29
- 38.8°, I = 100
- 40.6°, I = 38
- 47.2°, I = 4
- 58.7°, I = 11
- 62.7°, I = 33
- 69.0°, I = 29
- 78.5°, I = 5
- 82.0°, I = 12
- 83.2°, I = 15

Entry 13:
Structure and calculated powder diffraction line list of Pm2TiZnIr2 (a PBE-relaxed structure; Cu Kα (λ = 1.5418 Å)).
Neutral-atom scattering factors, no anomalous dispersion.

Unit cell a=8.110 b=8.110 c=8.110 alpha=138.22 beta=64.16 gamma=133.64
Sites, in units of the cell vectors:
Pm 0.174 0.244 0.417
Pm 0.326 0.744 0.070
Pm 0.674 0.256 0.930
Pm 0.826 0.756 0.583
Ti 0.250 0.750 0.500
Ti 0.750 0.250 0.500
Zn 0.250 0.250 0.000
Zn 0.750 0.750 0.000
Ir 0.107 0.732 0.839
Ir 0.393 0.232 0.625
Ir 0.607 0.768 0.375
Ir 0.893 0.268 0.161

Peak list (10 most intense, 2θ from 10° to 90°, by angle)
- 25.9°, I = 26
- 28.0°, I = 63
- 30.9°, I = 61
- 33.4°, I = 100
- 38.5°, I = 56
- 40.8°, I = 46
- 42.2°, I = 84
- 44.9°, I = 32
- 53.0°, I = 27
- 57.8°, I = 43